Simulated PXRD pattern of Pr6Zn5Cu for copper Kα, from a cell relaxed with PBE.

Top 8 peaks for 10° ≤ 2θ ≤ 90°, sorted by position:
2theta	Rel. int.	index
24.0	9.1	1 0 -2
34.3	100.0	1 2 1
49.1	6.0	0 4 0
49.3	11.7	2 0 2
61.3	12.1	2 4 -1
61.4	23.9	3 2 0
72.1	7.3	2 4 2
82.5	10.1	4 0 1

Structural model:
```
data_Pr6Zn5Cu
_chemical_formula_sum 'Pr6 Zn5 Cu1'
_symmetry_space_group_name_H-M 'P 1 2/m 1'
_symmetry_Int_Tables_number 10
_symmetry_space_group_name_Hall '-P 2y'
_cell_length_a 5.2259
_cell_length_b 7.4225
_cell_length_c 8.2676
_cell_angle_alpha 90.00
_cell_angle_beta 108.44
_cell_angle_gamma 90.00
loop_
_atom_site_label
_atom_site_fract_x
_atom_site_fract_y
_atom_site_fract_z
Pr1 0.0000 0.2476 0.0000
Pr2 0.3360 0.2500 0.6704
Zn1 0.1673 0.5000 0.3366
Zn2 0.1695 0.0000 0.3417
Zn3 0.5000 0.5000 0.0000
Cu1 0.5000 0.0000 0.0000
```

***

Simulated PXRD pattern of Rb2BaH6Rh for copper Kα, from a cell relaxed with PBE.

Top 8 peaks for 10° ≤ 2θ ≤ 90°, sorted by position:
2theta	Rel. int.	index
16.7	56.4	1 0 0
21.3	44.6	1 0 1
29.1	100.0	1 1 0
31.5	70.8	0 1 2
39.8	33.0	1 1 2
43.4	29.9	2 0 2
51.5	19.6	3 0 0
53.1	31.9	1 2 2

Structural model:
```
data_Rb2BaH6Rh
_chemical_formula_sum 'Rb2 Ba1 H6 Rh1'
_symmetry_space_group_name_H-M 'P -3 m 1'
_symmetry_Int_Tables_number 164
_symmetry_space_group_name_Hall '-P 3 2"'
_cell_length_a 6.1436
_cell_length_b 6.1436
_cell_length_c 6.7075
_cell_angle_alpha 90.00
_cell_angle_beta 90.00
_cell_angle_gamma 120.00
loop_
_atom_site_label
_atom_site_fract_x
_atom_site_fract_y
_atom_site_fract_z
Rb1 0.3333 0.6667 0.1168
Ba1 0.0000 0.0000 0.5000
H1 0.1278 0.2555 0.8513
Rh1 0.0000 0.0000 0.0000
```

***

Simulated PXRD pattern of La3Sm6Y2Tm for copper Kα, from a cell relaxed with PBE.

Top 8 peaks for 10° ≤ 2θ ≤ 90°, sorted by position:
2theta	Rel. int.	index
30.1	100.0	1 3 1
34.9	50.5	2 0 2
50.1	35.8	0 6 0
59.6	39.0	4 0 0
62.5	12.2	2 6 2
73.6	5.6	4 0 4
81.6	11.4	4 6 0
84.1	13.3	5 3 1

Structural model:
```
data_La3Sm6Y2Tm
_chemical_formula_sum 'La6 Sm12 Y4 Tm2'
_symmetry_space_group_name_H-M 'C 1 2/m 1'
_symmetry_Int_Tables_number 12
_symmetry_space_group_name_Hall '-C 2y'
_cell_length_a 6.3013
_cell_length_b 10.9244
_cell_length_c 12.0577
_cell_angle_alpha 90.00
_cell_angle_beta 100.07
_cell_angle_gamma 90.00
loop_
_atom_site_label
_atom_site_fract_x
_atom_site_fract_y
_atom_site_fract_z
La1 0.0000 0.0000 0.0000
La2 0.0000 0.3333 0.0000
Sm1 0.2472 0.3340 0.7440
Sm2 0.2491 0.0000 0.7442
Y1 0.0000 0.1666 0.5000
Tm1 0.0000 0.5000 0.5000
```